Structure and computed powder diffractogram of Y6Ni20P13 (the PBE geometry in OQMD; copper Kα).
Neutral-atom scattering factors, no anomalous dispersion.

Top 10 peaks for 10 to 90 degrees two-theta, low angle first:
2θ 37.2, I 14; 2θ 37.6, I 9; 2θ 38.1, I 100; 2θ 40.8, I 10; 2θ 43.7, I 9; 2θ 46.2, I 11; 2θ 48.6, I 24; 2θ 50.4, I 9; 2θ 52.2, I 22; 2θ 74.0, I 15

Structural model:
Cell: 12.6444 12.6444 3.7480 Å, 90.00 90.00 120.00°
Space group P-6 (No. 174)
Symmetry-distinct sites (fractional):
Y 0.0507 0.1965 0.0000 (multiplicity 3)
Y 0.5212 0.3854 0.5000 (multiplicity 3)
Ni 0.0000 0.0000 0.5000 (multiplicity 1)
Ni 0.0129 0.4240 0.0000 (multiplicity 3)
Ni 0.0874 0.7383 0.5000 (multiplicity 3)
Ni 0.1799 0.5944 0.5000 (multiplicity 3)
Ni 0.2280 0.4710 0.0000 (multiplicity 3)
Ni 0.3118 0.2291 0.0000 (multiplicity 3)
Ni 0.3557 0.1023 0.5000 (multiplicity 3)
Ni 0.6667 0.3333 0.0000 (multiplicity 1)
P 0.0515 0.6188 0.0000 (multiplicity 3)
P 0.1006 0.3883 0.5000 (multiplicity 3)
P 0.1962 0.1432 0.5000 (multiplicity 3)
P 0.3333 0.6667 0.0000 (multiplicity 1)
P 0.4709 0.1904 0.0000 (multiplicity 3)



Structure and computed powder diffractogram of Si5Au2 (the PBE geometry in OQMD; copper Kα).
Neutral-atom scattering factors, no anomalous dispersion.

Top 10 peaks for 10 to 90 degrees two-theta, low angle first:
2θ 21.2, I 37; 2θ 25.9, I 100; 2θ 28.7, I 80; 2θ 35.4, I 22; 2θ 38.1, I 42; 2θ 43.8, I 60; 2θ 44.0, I 17; 2θ 47.1, I 27; 2θ 49.1, I 26; 2θ 76.6, I 22

Structural model:
Cell: 4.1357 4.1357 25.1822 Å, 90.00 90.00 120.00°
Space group R3m (No. 160, hexagonal axes)
Symmetry-distinct sites (fractional):
Si 0.0000 0.0000 0.0000 (multiplicity 3)
Si 0.0000 0.0000 0.0988 (multiplicity 3)
Si 0.0000 0.0000 0.5265 (multiplicity 3)
Si 0.0000 0.0000 0.6266 (multiplicity 3)
Si 0.0000 0.0000 0.7971 (multiplicity 3)
Au 0.0000 0.0000 0.3716 (multiplicity 3)
Au 0.0000 0.0000 0.8975 (multiplicity 3)



Structure and computed powder diffractogram of TmZrSn4 (the PBE geometry in OQMD; copper Kα).
Neutral-atom scattering factors, no anomalous dispersion.

Top 10 peaks for 10 to 90 degrees two-theta, low angle first:
2θ 33.5, I 21; 2θ 34.2, I 100; 2θ 42.3, I 15; 2θ 42.5, I 15; 2θ 55.0, I 10; 2θ 55.2, I 10; 2θ 60.3, I 10; 2θ 61.5, I 10; 2θ 72.1, I 12; 2θ 72.5, I 16

Structural model:
Cell: 4.274 4.250 16.038 Å, 90.00 90.00 90.00°
Space group Amm2 (No. 38)
Symmetry-distinct sites (fractional):
Tm 0.000 0.000 0.000 (multiplicity 2)
Zr 0.500 0.000 0.202 (multiplicity 2)
Sn 0.000 0.000 0.347 (multiplicity 2)
Sn 0.000 0.000 0.668 (multiplicity 2)
Sn 0.500 0.000 0.538 (multiplicity 2)
Sn 0.500 0.000 0.848 (multiplicity 2)



Structure and computed powder diffractogram of La2SmNi2B2N3 (the PBE geometry in OQMD; copper Kα).
Neutral-atom scattering factors, no anomalous dispersion.

Top 10 peaks for 10 to 90 degrees two-theta, low angle first:
2θ 27.6, I 100; 2θ 33.0, I 65; 2θ 34.3, I 38; 2θ 35.5, I 42; 2θ 36.1, I 45; 2θ 38.9, I 30; 2θ 44.1, I 32; 2θ 49.3, I 40; 2θ 57.4, I 28; 2θ 62.6, I 34

Structural model:
Cell: 3.698 3.698 19.929 Å, 90.00 90.00 90.00°
Space group I4/mmm (No. 139)
Symmetry-distinct sites (fractional):
La 0.000 0.000 0.128 (multiplicity 4)
Sm 0.000 0.000 0.500 (multiplicity 2)
Ni 0.000 0.500 0.250 (multiplicity 4)
B 0.000 0.000 0.304 (multiplicity 4)
N 0.000 0.000 0.000 (multiplicity 2)
N 0.000 0.000 0.377 (multiplicity 4)



Structure and computed powder diffractogram of K2Na2Nd4Nb2O13 (the PBE geometry in OQMD; copper Kα).
Neutral-atom scattering factors, no anomalous dispersion.

Top 10 peaks for 10 to 90 degrees two-theta, low angle first:
2θ 17.8, I 15; 2θ 25.2, I 45; 2θ 25.5, I 40; 2θ 30.1, I 100; 2θ 30.5, I 94; 2θ 31.3, I 29; 2θ 31.6, I 37; 2θ 41.7, I 15; 2θ 45.1, I 45; 2θ 55.1, I 19

Structural model:
Cell: 24.284 5.714 11.327 Å, 90.00 116.75 90.00°
Space group C2/c (No. 15)
Symmetry-distinct sites (fractional):
K 0.249 0.051 0.133 (multiplicity 8)
Na 0.159 0.463 0.523 (multiplicity 8)
Nd 0.064 0.046 0.951 (multiplicity 8)
Nd 0.064 0.463 0.675 (multiplicity 8)
Nb 0.153 0.033 0.285 (multiplicity 8)
O 0.000 0.257 0.750 (multiplicity 4)
O 0.001 0.252 0.476 (multiplicity 8)
O 0.103 0.231 0.343 (multiplicity 8)
O 0.133 0.194 0.641 (multiplicity 8)
O 0.134 0.272 0.142 (multiplicity 8)
O 0.137 0.228 0.880 (multiplicity 8)
O 0.238 0.065 0.380 (multiplicity 8)



Structure and computed powder diffractogram of LiGdP4O12 (the PBE geometry in OQMD; copper Kα).
Neutral-atom scattering factors, no anomalous dispersion.

Top 10 peaks for 10 to 90 degrees two-theta, low angle first:
2θ 13.5, I 44; 2θ 15.7, I 46; 2θ 20.8, I 100; 2θ 23.1, I 71; 2θ 23.6, I 22; 2θ 28.0, I 33; 2θ 30.9, I 24; 2θ 31.6, I 26; 2θ 33.1, I 30; 2θ 48.2, I 23

Structural model:
Cell: 16.201 6.983 9.531 Å, 90.00 125.84 90.00°
Space group C2/c (No. 15)
Symmetry-distinct sites (fractional):
Li 0.000 0.204 0.250 (multiplicity 4)
Gd 0.000 0.296 0.750 (multiplicity 4)
P 0.137 0.055 0.161 (multiplicity 8)
P 0.148 0.349 0.596 (multiplicity 8)
O 0.063 0.001 0.201 (multiplicity 8)
O 0.070 0.413 0.414 (multiplicity 8)
O 0.115 0.223 0.047 (multiplicity 8)
O 0.131 0.387 0.732 (multiplicity 8)
O 0.159 0.122 0.580 (multiplicity 8)
O 0.244 0.078 0.348 (multiplicity 8)



Structure and computed powder diffractogram of TmZnInSe3 (the PBE geometry in OQMD; copper Kα).
Neutral-atom scattering factors, no anomalous dispersion.

Top 10 peaks for 10 to 90 degrees two-theta, low angle first:
2θ 12.1, I 54; 2θ 20.5, I 33; 2θ 28.6, I 38; 2θ 29.8, I 80; 2θ 33.2, I 100; 2θ 33.8, I 22; 2θ 40.7, I 39; 2θ 41.6, I 56; 2θ 44.6, I 31; 2θ 51.5, I 23

Structural model:
Cell: 10.802 4.064 14.596 Å, 90.00 90.00 90.00°
Space group Pnma (No. 62)
Symmetry-distinct sites (fractional):
Tm 0.012 0.250 0.246 (multiplicity 4)
Zn 0.240 0.250 0.713 (multiplicity 4)
In 0.230 0.750 0.501 (multiplicity 4)
Se 0.047 0.250 0.623 (multiplicity 4)
Se 0.072 0.750 0.119 (multiplicity 4)
Se 0.240 0.750 0.818 (multiplicity 4)



Structure and computed powder diffractogram of Sr4HfSc2 (the PBE geometry in OQMD; copper Kα).
Neutral-atom scattering factors, no anomalous dispersion.

Top 10 peaks for 10 to 90 degrees two-theta, low angle first:
2θ 28.6, I 69; 2θ 29.0, I 62; 2θ 29.8, I 100; 2θ 31.2, I 61; 2θ 33.1, I 85; 2θ 35.4, I 47; 2θ 38.0, I 60; 2θ 47.5, I 28; 2θ 50.8, I 45; 2θ 59.3, I 50

Structural model:
Cell: 3.5944 3.5944 21.8524 Å, 90.00 90.00 120.00°
Space group P-3m1 (No. 164)
Symmetry-distinct sites (fractional):
Sr 0.3333 0.6667 0.3690 (multiplicity 2)
Sr 0.3333 0.6667 0.9197 (multiplicity 2)
Hf 0.0000 0.0000 0.5000 (multiplicity 1)
Sc 0.3333 0.6667 0.2160 (multiplicity 2)